# 1
MgTl2Br8: calculated X-ray diffraction stick pattern (Cu Kα, 1.54184 Å), based on a crystal structure in Alexandria, relaxed with PBE.

Top 10 peaks for 2θ = 10–80°, by angle:
- 12.21°, d = 7.247 Å, rel. 47.3
- 16.82°, d = 5.271 Å, rel. 54.1
- 17.29°, d = 5.130 Å, rel. 100.0
- 22.41°, d = 3.967 Å, rel. 56.4
- 23.21°, d = 3.833 Å, rel. 66.7
- 24.57°, d = 3.624 Å, rel. 50.1
- 27.18°, d = 3.281 Å, rel. 57.5
- 36.30°, d = 2.475 Å, rel. 43.7
- 39.93°, d = 2.258 Å, rel. 38.2
- 42.44°, d = 2.130 Å, rel. 79.3

Crystal structure
a b c (Å): 10.600 10.600 13.262
angles (deg): 126.33 126.33 50.43
Fractional coordinates of all 22 atoms:
Mg1 0.006 0.994 0.750
Mg2 0.994 0.006 0.250
Tl1 0.163 0.665 0.966
Tl2 0.335 0.837 0.534
Tl3 0.665 0.163 0.466
Tl4 0.837 0.335 0.034
Br1 0.122 0.718 0.294
Br2 0.150 0.152 0.011
Br3 0.151 0.678 0.766
Br4 0.152 0.150 0.511
Br5 0.282 0.878 0.206
Br6 0.322 0.849 0.734
Br7 0.329 0.345 0.943
Br8 0.345 0.329 0.443
Br9 0.655 0.671 0.557
Br10 0.671 0.655 0.057
Br11 0.678 0.151 0.266
Br12 0.718 0.122 0.794
Br13 0.848 0.850 0.489
Br14 0.849 0.322 0.234
Br15 0.850 0.848 0.989
Br16 0.878 0.282 0.706



# 2
LiYMg14: calculated X-ray diffraction stick pattern (Cu Kα, 1.54184 Å), based on a crystal structure in Alexandria, relaxed with PBE.

Top 10 peaks for 2θ = 10–80°, by angle:
- 12.95°, d = 6.836 Å, rel. 16.1
- 17.06°, d = 5.196 Å, rel. 20.8
- 31.32°, d = 2.856 Å, rel. 9.1
- 34.52°, d = 2.598 Å, rel. 100.0
- 37.20°, d = 2.417 Å, rel. 40.4
- 45.37°, d = 1.999 Å, rel. 11.3
- 53.63°, d = 1.709 Å, rel. 13.5
- 60.06°, d = 1.540 Å, rel. 18.9
- 65.36°, d = 1.428 Å, rel. 28.6
- 72.80°, d = 1.299 Å, rel. 10.2

Crystal structure
a b c (Å): 6.836 6.836 7.996
angles (deg): 90.00 90.00 90.00
Fractional coordinates of all 16 atoms:
Li1 0.000 0.000 0.000
Y1 0.500 0.500 0.000
Mg1 0.000 0.000 0.500
Mg2 0.000 0.500 0.000
Mg3 0.000 0.500 0.500
Mg4 0.245 0.245 0.252
Mg5 0.245 0.245 0.748
Mg6 0.245 0.755 0.252
Mg7 0.245 0.755 0.748
Mg8 0.500 0.000 0.000
Mg9 0.500 0.000 0.500
Mg10 0.500 0.500 0.500
Mg11 0.755 0.245 0.252
Mg12 0.755 0.245 0.748
Mg13 0.755 0.755 0.252
Mg14 0.755 0.755 0.748



# 3
Tm3Sb4Pd8: calculated X-ray diffraction stick pattern (Cu Kα, 1.54184 Å), based on a crystal structure in Alexandria, relaxed with PBE.

Top 10 peaks for 2θ = 10–80°, by angle:
- 30.28°, d = 2.952 Å, rel. 8.7
- 33.25°, d = 2.694 Å, rel. 8.1
- 35.33°, d = 2.540 Å, rel. 33.3
- 38.58°, d = 2.333 Å, rel. 100.0
- 41.03°, d = 2.200 Å, rel. 6.9
- 43.35°, d = 2.087 Å, rel. 6.4
- 55.71°, d = 1.650 Å, rel. 9.4
- 67.71°, d = 1.384 Å, rel. 9.2
- 69.81°, d = 1.347 Å, rel. 21.2
- 74.33°, d = 1.276 Å, rel. 8.2

Crystal structure
a b c (Å): 9.334 9.334 9.334
angles (deg): 60.00 60.00 60.00
Fractional coordinates of all 30 atoms:
Tm1 0.225 0.225 0.775
Tm2 0.225 0.775 0.225
Tm3 0.225 0.775 0.775
Tm4 0.775 0.225 0.225
Tm5 0.775 0.225 0.775
Tm6 0.775 0.775 0.225
Sb1 0.000 0.000 0.000
Sb2 0.000 0.000 0.500
Sb3 0.000 0.500 0.000
Sb4 0.000 0.500 0.500
Sb5 0.500 0.000 0.000
Sb6 0.500 0.000 0.500
Sb7 0.500 0.500 0.000
Sb8 0.500 0.500 0.500
Pd1 0.144 0.619 0.619
Pd2 0.165 0.165 0.165
Pd3 0.165 0.165 0.504
Pd4 0.165 0.504 0.165
Pd5 0.381 0.381 0.381
Pd6 0.381 0.381 0.856
Pd7 0.381 0.856 0.381
Pd8 0.496 0.835 0.835
Pd9 0.504 0.165 0.165
Pd10 0.619 0.144 0.619
Pd11 0.619 0.619 0.144
Pd12 0.619 0.619 0.619
Pd13 0.835 0.496 0.835
Pd14 0.835 0.835 0.496
Pd15 0.835 0.835 0.835
Pd16 0.856 0.381 0.381



# 4
CsB2Os: calculated X-ray diffraction stick pattern (Cu Kα, 1.54184 Å), based on a crystal structure in Alexandria, relaxed with PBE.

Top 10 peaks for 2θ = 10–80°, by angle:
- 16.78°, d = 5.284 Å, rel. 5.2
- 27.57°, d = 3.236 Å, rel. 100.0
- 32.45°, d = 2.759 Å, rel. 1.3
- 39.38°, d = 2.288 Å, rel. 17.5
- 43.08°, d = 2.100 Å, rel. 1.4
- 48.75°, d = 1.868 Å, rel. 42.0
- 56.92°, d = 1.618 Å, rel. 14.4
- 64.39°, d = 1.447 Å, rel. 18.4
- 71.41°, d = 1.321 Å, rel. 4.2
- 78.16°, d = 1.223 Å, rel. 21.3

Crystal structure
a b c (Å): 6.471 6.471 6.471
angles (deg): 60.00 60.00 60.00
Fractional coordinates of all 8 atoms:
Cs1 0.125 0.125 0.125
Cs2 0.875 0.875 0.875
B1 0.000 0.500 0.500
B2 0.500 0.000 0.500
B3 0.500 0.500 0.000
B4 0.500 0.500 0.500
Os1 0.375 0.375 0.375
Os2 0.625 0.625 0.625



# 5
Ba6Na2HgN: calculated X-ray diffraction stick pattern (Cu Kα, 1.54184 Å), based on a crystal structure in Alexandria, relaxed with PBE.

Top 10 peaks for 2θ = 10–80°, by angle:
- 13.37°, d = 6.623 Å, rel. 52.9
- 14.50°, d = 6.110 Å, rel. 95.1
- 23.99°, d = 3.710 Å, rel. 41.3
- 24.60°, d = 3.619 Å, rel. 100.0
- 26.92°, d = 3.312 Å, rel. 61.2
- 29.23°, d = 3.055 Å, rel. 89.8
- 30.73°, d = 2.910 Å, rel. 61.5
- 31.79°, d = 2.815 Å, rel. 29.6
- 40.16°, d = 2.245 Å, rel. 73.3
- 50.44°, d = 1.809 Å, rel. 32.7

Crystal structure
a b c (Å): 9.011 9.011 9.011
angles (deg): 122.70 122.70 85.38
Fractional coordinates of all 10 atoms:
Ba1 0.000 0.000 0.000
Ba2 0.012 0.013 0.558
Ba3 0.013 0.456 0.001
Ba4 0.455 0.012 0.999
Ba5 0.456 0.455 0.442
Ba6 0.487 0.487 0.000
Na1 0.481 0.981 0.500
Na2 0.981 0.481 0.500
Hg1 0.737 0.737 0.000
N1 0.196 0.196 0.000



# 6
Hf3In5: calculated X-ray diffraction stick pattern (Cu Kα, 1.54184 Å), based on a crystal structure in Alexandria, relaxed with PBE.

Top 10 peaks for 2θ = 10–80°, by angle:
- 34.90°, d = 2.571 Å, rel. 100.0
- 39.17°, d = 2.300 Å, rel. 17.9
- 40.78°, d = 2.213 Å, rel. 16.2
- 41.57°, d = 2.173 Å, rel. 15.5
- 57.82°, d = 1.595 Å, rel. 11.2
- 58.44°, d = 1.579 Å, rel. 11.0
- 68.24°, d = 1.374 Å, rel. 13.3
- 70.45°, d = 1.337 Å, rel. 12.4
- 71.55°, d = 1.319 Å, rel. 12.1
- 73.70°, d = 1.285 Å, rel. 10.9

Crystal structure
a b c (Å): 6.383 6.383 4.345
angles (deg): 90.00 90.00 92.21
Fractional coordinates of all 8 atoms:
Hf1 0.000 0.000 0.000
Hf2 0.257 0.257 0.500
Hf3 0.743 0.743 0.500
In1 0.000 0.500 0.000
In2 0.237 0.763 0.500
In3 0.500 0.000 0.000
In4 0.500 0.500 0.000
In5 0.763 0.237 0.500



# 7
CuBC: calculated X-ray diffraction stick pattern (Cu Kα, 1.54184 Å), based on a crystal structure in Alexandria, relaxed with PBE.

Top 10 peaks for 2θ = 10–80°, by angle:
- 22.56°, d = 3.942 Å, rel. 48.9
- 37.44°, d = 2.402 Å, rel. 100.0
- 44.10°, d = 2.054 Å, rel. 44.6
- 44.22°, d = 2.048 Å, rel. 44.3
- 46.05°, d = 1.971 Å, rel. 23.3
- 60.69°, d = 1.526 Å, rel. 21.4
- 60.86°, d = 1.522 Å, rel. 13.8
- 60.96°, d = 1.520 Å, rel. 7.3
- 67.51°, d = 1.388 Å, rel. 12.3
- 79.93°, d = 1.200 Å, rel. 5.9

Crystal structure
a b c (Å): 2.770 2.775 3.942
angles (deg): 89.75 89.81 60.07
Fractional coordinates of all 3 atoms:
Cu1 0.000 0.000 0.000
B1 0.578 0.716 0.500
C1 0.907 0.052 0.500



# 8
Cd3Au8: calculated X-ray diffraction stick pattern (Cu Kα, 1.54184 Å), based on a crystal structure in Alexandria, relaxed with PBE.

Top 10 peaks for 2θ = 10–80°, by angle:
- 34.23°, d = 2.620 Å, rel. 54.7
- 36.93°, d = 2.434 Å, rel. 11.8
- 37.57°, d = 2.394 Å, rel. 44.8
- 38.37°, d = 2.346 Å, rel. 59.4
- 40.08°, d = 2.250 Å, rel. 100.0
- 51.73°, d = 1.767 Å, rel. 31.3
- 61.29°, d = 1.513 Å, rel. 35.3
- 70.64°, d = 1.333 Å, rel. 27.8
- 74.16°, d = 1.279 Å, rel. 39.8
- 75.79°, d = 1.255 Å, rel. 16.0

Crystal structure
a b c (Å): 3.025 3.025 26.335
angles (deg): 90.00 90.00 120.00
Fractional coordinates of all 11 atoms:
Cd1 0.000 0.000 0.000
Cd2 0.000 0.000 0.181
Cd3 0.000 0.000 0.361
Au1 0.000 0.000 0.644
Au2 0.000 0.000 0.821
Au3 0.667 0.333 0.090
Au4 0.667 0.333 0.271
Au5 0.667 0.333 0.451
Au6 0.667 0.333 0.555
Au7 0.667 0.333 0.733
Au8 0.667 0.333 0.910



# 9
TlAsIrPbAuCl: calculated X-ray diffraction stick pattern (Cu Kα, 1.54184 Å), based on a crystal structure in Alexandria, relaxed with PBE.

Top 10 peaks for 2θ = 10–80°, by angle:
- 25.11°, d = 3.547 Å, rel. 77.5
- 27.51°, d = 3.242 Å, rel. 46.1
- 28.72°, d = 3.109 Å, rel. 41.5
- 33.17°, d = 2.701 Å, rel. 100.0
- 33.37°, d = 2.685 Å, rel. 82.1
- 34.41°, d = 2.606 Å, rel. 42.3
- 34.62°, d = 2.591 Å, rel. 49.0
- 36.18°, d = 2.483 Å, rel. 39.6
- 43.68°, d = 2.072 Å, rel. 43.5
- 47.49°, d = 1.914 Å, rel. 45.7

Crystal structure
a b c (Å): 3.829 4.326 10.569
angles (deg): 81.32 79.63 64.46
Fractional coordinates of all 6 atoms:
Tl1 0.000 0.000 0.000
As1 0.364 0.922 0.359
Ir1 0.681 0.295 0.360
Pb1 0.969 0.510 0.568
Au1 0.243 0.378 0.154
Cl1 0.550 0.120 0.777



# 10
KGeAu: calculated X-ray diffraction stick pattern (Cu Kα, 1.54184 Å), based on a crystal structure in Alexandria, relaxed with PBE.

Top 10 peaks for 2θ = 10–80°, by angle:
- 19.31°, d = 4.598 Å, rel. 100.0
- 19.69°, d = 4.509 Å, rel. 25.6
- 29.05°, d = 3.073 Å, rel. 13.4
- 32.78°, d = 2.732 Å, rel. 72.5
- 33.02°, d = 2.713 Å, rel. 54.4
- 33.53°, d = 2.672 Å, rel. 38.2
- 34.23°, d = 2.620 Å, rel. 21.3
- 43.63°, d = 2.075 Å, rel. 38.7
- 47.77°, d = 1.904 Å, rel. 39.2
- 53.64°, d = 1.709 Å, rel. 18.7

Crystal structure
a b c (Å): 6.794 5.345 9.017
angles (deg): 90.00 90.00 90.00
Fractional coordinates of all 12 atoms:
K1 0.000 0.250 0.134
K2 0.000 0.750 0.866
K3 0.500 0.250 0.366
K4 0.500 0.750 0.634
Ge1 0.000 0.250 0.539
Ge2 0.000 0.750 0.461
Ge3 0.500 0.250 0.961
Ge4 0.500 0.750 0.039
Au1 0.250 0.250 0.750
Au2 0.250 0.750 0.250
Au3 0.750 0.250 0.750
Au4 0.750 0.750 0.250



# 11
Cs3Sr2I4Br3: calculated X-ray diffraction stick pattern (Cu Kα, 1.54184 Å), based on a crystal structure in Alexandria, relaxed with PBE.

Top 10 peaks for 2θ = 10–80°, by angle:
- 20.12°, d = 4.414 Å, rel. 40.4
- 23.09°, d = 3.851 Å, rel. 35.6
- 26.37°, d = 3.380 Å, rel. 100.0
- 27.43°, d = 3.252 Å, rel. 62.3
- 28.31°, d = 3.152 Å, rel. 46.9
- 29.72°, d = 3.006 Å, rel. 68.6
- 39.83°, d = 2.263 Å, rel. 29.5
- 40.89°, d = 2.207 Å, rel. 41.9
- 41.51°, d = 2.175 Å, rel. 32.8
- 50.74°, d = 1.799 Å, rel. 31.1

Crystal structure
a b c (Å): 16.370 16.370 16.370
angles (deg): 158.84 31.39 157.09
Fractional coordinates of all 12 atoms:
Cs1 0.000 0.000 0.000
Cs2 0.069 0.889 0.180
Cs3 0.709 0.889 0.820
Sr1 0.292 0.889 0.403
Sr2 0.485 0.889 0.597
I1 0.195 0.895 0.301
I2 0.594 0.895 0.699
I3 0.795 0.386 0.409
I4 0.977 0.386 0.591
Br1 0.269 0.366 0.903
Br2 0.367 0.867 0.500
Br3 0.463 0.366 0.097



# 12
La3AgGe3: calculated X-ray diffraction stick pattern (Cu Kα, 1.54184 Å), based on a crystal structure in Alexandria, relaxed with PBE.

Top 10 peaks for 2θ = 10–80°, by angle:
- 30.42°, d = 2.938 Å, rel. 100.0
- 30.59°, d = 2.923 Å, rel. 48.1
- 34.50°, d = 2.600 Å, rel. 21.0
- 38.85°, d = 2.318 Å, rel. 30.8
- 40.44°, d = 2.230 Å, rel. 48.8
- 42.38°, d = 2.133 Å, rel. 23.4
- 53.16°, d = 1.723 Å, rel. 20.0
- 57.30°, d = 1.608 Å, rel. 19.3
- 59.99°, d = 1.542 Å, rel. 16.4
- 67.33°, d = 1.391 Å, rel. 13.9

Crystal structure
a b c (Å): 10.146 10.146 10.146
angles (deg): 155.73 154.58 35.43
Fractional coordinates of all 7 atoms:
La1 0.000 0.000 0.000
La2 0.193 0.693 0.500
La3 0.370 0.370 0.000
Ag1 0.619 0.119 0.500
Ge1 0.539 0.539 0.000
Ge2 0.751 0.251 0.500
Ge3 0.832 0.832 0.000